# 1
This entry pairs a crystal structure of NaSb2H2OF7 with its theoretical powder diffraction line list. Radiation: Cu Ka. Structure: a DFT-relaxed cell (GGA-PBE, the Materials Project).
Lines closer than 0.1° are merged.

The 10 most intense peaks (10° ≤ 2θ ≤ 80°), by angle:
hkl 0 2 0, 2θ = 18.2°, d 4.874, intensity 43.0
hkl 1 0 -2, 2θ = 19.3°, d 4.591, intensity 100.0
hkl 1 1 2, 2θ = 23.9°, d 3.725, intensity 82.9
hkl 1 2 -1, 2θ = 24.7°, d 3.609, intensity 53.5
hkl 1 2 -2, 2θ = 26.7°, d 3.342, intensity 30.6
hkl 0 1 4, 2θ = 27.8°, d 3.206, intensity 35.4
hkl 2 1 0, 2θ = 33.7°, d 2.657, intensity 22.6
hkl 2 1 -4, 2θ = 40.4°, d 2.234, intensity 26.5
hkl 2 3 1, 2θ = 44.2°, d 2.049, intensity 31.6
hkl 2 0 4, 2θ = 44.9°, d 2.017, intensity 18.0

Structural model:
```
data_NaSb2H2OF7
_chemical_formula_sum 'Na4 Sb8 H8 O4 F28'
_cell_length_a 5.572
_cell_length_b 9.747
_cell_length_c 13.700
_cell_angle_alpha 90.00
_cell_angle_beta 97.61
_cell_angle_gamma 90.00
_symmetry_space_group_name_H-M 'P 1 21/c 1'
_symmetry_Int_Tables_number 14
_symmetry_space_group_name_Hall '-P 2ybc'
loop_
_atom_site_label
_atom_site_type_symbol
_atom_site_fract_x
_atom_site_fract_y
_atom_site_fract_z
Na1 Na 0.243 0.059 0.426
Sb1 Sb 0.205 0.666 0.527
Sb2 Sb 0.388 0.200 0.707
H1 H 0.029 0.531 0.739
H2 H 0.157 0.581 0.238
O1 O 0.062 0.502 0.209
F1 F 0.007 0.178 0.869
F2 F 0.095 0.644 0.994
F3 F 0.105 0.109 0.062
F4 F 0.307 0.705 0.321
F5 F 0.416 0.546 0.731
F6 F 0.440 0.103 0.580
F7 F 0.478 0.719 0.138
```

***

# 2
This entry pairs a crystal structure of MgCu2S4 with its theoretical powder diffraction line list. Radiation: Cu Ka. Structure: a DFT-relaxed cell (GGA-PBE, the Materials Project).
Lines closer than 0.1° are merged.

The 10 most intense peaks (10° ≤ 2θ ≤ 80°), by angle:
hkl 1 0 -1, 2θ = 17.9°, d 4.942, intensity 63.5
hkl 1 0 1, 2θ = 26.0°, d 3.428, intensity 46.6
hkl 1 0 -2, 2θ = 27.0°, d 3.305, intensity 81.2
hkl 1 1 0, 2θ = 29.9°, d 2.985, intensity 100.0
hkl 1 1 -1, 2θ = 30.2°, d 2.957, intensity 64.0
hkl 2 0 -1, 2θ = 32.9°, d 2.720, intensity 31.6
hkl 1 1 -2, 2θ = 36.5°, d 2.462, intensity 46.0
hkl 0 1 3, 2θ = 49.2°, d 1.852, intensity 54.8
hkl 0 2 0, 2θ = 49.4°, d 1.845, intensity 46.0
hkl 2 1 1, 2θ = 49.7°, d 1.835, intensity 41.2

Structural model:
```
data_MgCu2S4
_chemical_formula_sum 'Mg1 Cu2 S4'
_cell_length_a 5.443
_cell_length_b 3.691
_cell_length_c 6.886
_cell_angle_alpha 90.00
_cell_angle_beta 111.11
_cell_angle_gamma 90.00
_symmetry_space_group_name_H-M 'P 1 m 1'
_symmetry_Int_Tables_number 6
_symmetry_space_group_name_Hall 'P -2y'
loop_
_atom_site_label
_atom_site_type_symbol
_atom_site_fract_x
_atom_site_fract_y
_atom_site_fract_z
Mg1 Mg 0.000 0.000 0.000
Cu1 Cu 0.299 0.500 0.794
Cu2 Cu 0.651 0.000 0.354
S1 S 0.016 0.000 0.653
S2 S 0.066 0.500 0.247
S3 S 0.457 0.500 0.447
S4 S 0.525 0.000 0.994
```

***

# 3
This entry pairs a crystal structure of BeNi with its theoretical powder diffraction line list. Radiation: Cu Ka. Structure: a DFT-relaxed cell (GGA-PBE, the Materials Project).
Lines closer than 0.1° are merged.

The 4 most intense peaks (10° ≤ 2θ ≤ 80°), by angle:
hkl 1 0 0, 2θ = 34.4°, d 2.605, intensity 100.0
hkl 1 1 0, 2θ = 49.5°, d 1.842, intensity 98.3
hkl 1 1 1, 2θ = 61.7°, d 1.504, intensity 22.2
hkl 2 0 0, 2θ = 72.6°, d 1.303, intensity 14.4

Structural model:
```
data_BeNi
_chemical_formula_sum 'Be1 Ni1'
_cell_length_a 2.605
_cell_length_b 2.605
_cell_length_c 2.605
_cell_angle_alpha 90.00
_cell_angle_beta 90.00
_cell_angle_gamma 90.00
_symmetry_space_group_name_H-M 'P m -3 m'
_symmetry_Int_Tables_number 221
_symmetry_space_group_name_Hall '-P 4 2 3'
loop_
_atom_site_label
_atom_site_type_symbol
_atom_site_fract_x
_atom_site_fract_y
_atom_site_fract_z
Be1 Be 0.000 0.000 0.000
Ni1 Ni 0.500 0.500 0.500
```